[1]
Starting from a crystal structure in the Materials Project, relaxed with GGA-PBE, the powder XRD pattern of CsTa2P5O18 was computed for Cu Ka.
Intensities are scaled so that the largest is 100.

Most intense lines, 15° ≤ 2θ ≤ 90°, sorted by position:
d [Å], intensity, hkl
5.342, 99, 0 2 1
4.837, 100, 0 0 3
4.633, 42, 0 1 3
4.476, 28, 1 1 -1
4.328, 49, 1 -1 1
4.143, 59, 0 2 -2
3.686, 90, 1 2 -1
3.629, 50, 0 0 4
3.478, 42, 1 -2 1
3.205, 34, 0 2 4
2.596, 41, 2 0 0
2.506, 28, 1 4 0

Structure:
a b c (Å): 5.216 11.081 14.628
angles (deg): 82.95 87.15 85.12
Space group P-1 (No. 2)
Inequivalent atoms, fractional coordinates:
Cs 0.214 0.403 0.121 [2 per cell]
Ta 0.205 0.210 0.491 [2 per cell]
Ta 0.250 0.943 0.147 [2 per cell]
P 0.101 0.413 0.654 [2 per cell]
P 0.207 0.269 0.832 [2 per cell]
P 0.277 0.872 0.923 [2 per cell]
P 0.287 0.946 0.388 [2 per cell]
P 0.303 0.650 0.639 [2 per cell]
O 0.036 0.801 0.177 [2 per cell]
O 0.042 0.897 0.438 [2 per cell]
O 0.060 0.944 0.862 [2 per cell]
O 0.063 0.726 0.593 [2 per cell]
O 0.100 0.336 0.571 [2 per cell]
O 0.148 0.538 0.309 [2 per cell]
O 0.185 0.361 0.897 [2 per cell]
O 0.246 0.930 0.017 [2 per cell]
O 0.263 0.738 0.935 [2 per cell]
O 0.263 0.954 0.284 [2 per cell]
O 0.275 0.328 0.726 [2 per cell]
O 0.289 0.515 0.610 [2 per cell]
O 0.313 0.074 0.416 [2 per cell]
O 0.316 0.655 0.739 [2 per cell]
O 0.436 0.170 0.845 [2 per cell]
O 0.461 0.307 0.423 [2 per cell]
O 0.463 0.084 0.123 [2 per cell]
O 0.475 0.139 0.581 [2 per cell]

=====

[2]
Starting from a crystal structure in the Materials Project, relaxed with GGA-PBE, the powder XRD pattern of CsTbP4O12 was computed for Cu Ka.
Intensities are scaled so that the largest is 100.

Most intense lines, 15° ≤ 2θ ≤ 90°, sorted by position:
d [Å], intensity, hkl
5.566, 100, 1 1 0
4.586, 45, 0 2 0
4.417, 50, 1 1 1
4.012, 71, 1 0 -2
3.837, 66, 1 2 0
3.676, 45, 1 1 -2
3.639, 44, 1 2 -1
3.431, 57, 1 0 2
3.392, 98, 1 2 1
3.239, 52, 2 1 -1
2.884, 73, 0 3 1
2.087, 43, 1 3 -3

Structure:
a b c (Å): 7.111 9.173 8.809
angles (deg): 90.00 99.98 90.00
Space group P2_1 (No. 4)
Inequivalent atoms, fractional coordinates:
Cs 0.169 0.000 0.174 [2 per cell]
Tb 0.301 0.835 0.697 [2 per cell]
P 0.142 0.467 0.540 [2 per cell]
P 0.187 0.409 0.223 [2 per cell]
P 0.417 0.609 0.069 [2 per cell]
P 0.441 0.225 0.621 [2 per cell]
O 0.018 0.862 0.818 [2 per cell]
O 0.048 0.893 0.497 [2 per cell]
O 0.159 0.604 0.633 [2 per cell]
O 0.218 0.535 0.101 [2 per cell]
O 0.219 0.502 0.382 [2 per cell]
O 0.288 0.352 0.634 [2 per cell]
O 0.344 0.298 0.233 [2 per cell]
O 0.349 0.079 0.593 [2 per cell]
O 0.368 0.683 0.917 [2 per cell]
O 0.422 0.001 0.904 [2 per cell]
O 0.422 0.779 0.477 [2 per cell]
O 0.448 0.734 0.200 [2 per cell]

=====

[3]
Starting from a crystal structure in the Materials Project, relaxed with GGA-PBE, the powder XRD pattern of Cs2TePO10 was computed for Cu Ka.
Intensities are scaled so that the largest is 100.

Most intense lines, 15° ≤ 2θ ≤ 90°, sorted by position:
d [Å], intensity, hkl
5.759, 17, 1 2 -1
4.109, 13, 1 3 -2
3.944, 100, 1 4 -1
3.834, 28, 0 2 2
3.649, 45, 2 0 -2
3.603, 13, 1 1 1
3.548, 13, 1 1 -3
3.419, 31, 1 2 1
3.371, 29, 1 2 -3
2.621, 11, 2 2 -4
2.507, 14, 0 6 2
2.160, 19, 3 4 -3

Structure:
a b c (Å): 7.300 18.751 11.029
angles (deg): 90.00 130.37 90.00
Space group P2_1/c (No. 14)
Inequivalent atoms, fractional coordinates:
Cs 0.073 0.052 0.339 [4 per cell]
Cs 0.274 0.159 0.019 [4 per cell]
Te 0.232 0.689 0.986 [4 per cell]
P 0.418 0.549 0.677 [4 per cell]
O 0.015 0.121 0.647 [4 per cell]
O 0.042 0.724 0.379 [4 per cell]
O 0.141 0.681 0.113 [4 per cell]
O 0.175 0.543 0.637 [4 per cell]
O 0.309 0.719 0.850 [4 per cell]
O 0.391 0.553 0.527 [4 per cell]
O 0.405 0.512 0.214 [4 per cell]
O 0.461 0.118 0.721 [4 per cell]
O 0.491 0.621 0.097 [4 per cell]
O 0.497 0.741 0.603 [4 per cell]